Diffraction record for Sm4HoMg. The powder X-ray diffraction pattern is calculated, not measured: it uses a cell relaxed with PBE and Cu Ka.
Intensities are scaled so that the largest is 100.

Cell and atoms:
Unit cell a=3.6250 b=3.6250 c=14.4428 alpha=90.00 beta=90.00 gamma=90.00
Fractional coordinates of all 6 atoms:
Sm (0.0000, 0.0000, 0.1524)
Sm (0.0000, 0.0000, 0.8476)
Sm (0.5000, 0.5000, 0.3264)
Sm (0.5000, 0.5000, 0.6736)
Ho (0.0000, 0.0000, 0.5000)
Mg (0.5000, 0.5000, 0.0000)

Largest 12 diffraction maxima, most intense first, 5° ≤ 2θ ≤ 70°:
- 30.9°, 2.896 Å, intensity 100
- 35.0°, 2.563 Å, intensity 36
- 60.2°, 1.536 Å, intensity 31
- 52.1°, 1.755 Å, intensity 20
- 6.1°, 14.443 Å, intensity 15
- 37.4°, 2.407 Å, intensity 13
- 50.3°, 1.812 Å, intensity 13
- 64.3°, 1.448 Å, intensity 11
- 63.4°, 1.467 Å, intensity 9
- 27.5°, 3.240 Å, intensity 9
- 57.0°, 1.616 Å, intensity 5
- 47.4°, 1.917 Å, intensity 5